Entry 1:
Structure and computed powder XRD pattern of La6TbTm2Sc (a structure optimized by DFT (PBE); a wavelength of 1.5418 Å).
No peak broadening, texture or thermal motion is included.

Structure:
a = 11.402 Å, b = 7.147 Å, c = 8.807 Å
α = 90.00°, β = 106.01°, γ = 90.00°
Space group C2/m (No. 12)
Unique sites:
La 0.137 0.000 0.433 (multiplicity 4)
La 0.174 0.278 0.796 (multiplicity 8)
Tb 0.000 0.000 0.000 (multiplicity 2)
Tm 0.090 0.500 0.176 (multiplicity 4)
Sc 0.000 0.500 0.500 (multiplicity 2)

Largest 8 diffraction maxima, most intense first, 2θ from 15° to 90°:
2θ 30.13, rel. 100, (2 2 -1)
2θ 31.77, rel. 57, (0 0 3)
2θ 27.58, rel. 51, (1 1 2)
2θ 31.41, rel. 50, (4 0 -1)
2θ 29.85, rel. 32, (2 2 0)
2θ 32.99, rel. 27, (1 1 -3)
2θ 32.80, rel. 26, (0 2 2)
2θ 30.26, rel. 24, (3 1 -2)



Entry 2:
Structure and computed powder XRD pattern of LaSc5Te8 (a structure optimized by DFT (PBE); a wavelength of 1.5418 Å).
No peak broadening, texture or thermal motion is included.

Structure:
a = 12.421 Å, b = 12.421 Å, c = 12.421 Å
α = 90.00°, β = 90.00°, γ = 90.00°
Space group F-43m (No. 216)
Unique sites:
La 0.000 0.000 0.000 (multiplicity 4)
Sc 0.121 0.121 0.621 (multiplicity 16)
Sc 0.250 0.250 0.250 (multiplicity 4)
Te 0.119 0.119 0.381 (multiplicity 16)
Te 0.141 0.141 0.859 (multiplicity 16)

Largest 8 diffraction maxima, most intense first, 2θ from 15° to 90°:
2θ 41.11, rel. 100, (4 4 0)
2θ 24.83, rel. 98, (2 2 2)
2θ 28.75, rel. 75, (4 0 0)
2θ 48.62, rel. 39, (6 2 2)
2θ 37.63, rel. 34, (5 1 1)
2θ 74.91, rel. 25, (8 4 4)
2θ 23.76, rel. 22, (3 1 1)
2θ 20.22, rel. 17, (2 2 0)



Entry 3:
Structure and computed powder XRD pattern of La4ScTe (a structure optimized by DFT (PBE); a wavelength of 1.5418 Å).
No peak broadening, texture or thermal motion is included.

Structure:
a = 9.253 Å, b = 9.253 Å, c = 9.253 Å
α = 90.00°, β = 90.00°, γ = 90.00°
Space group F-43m (No. 216)
Unique sites:
La 0.123 0.123 0.123 (multiplicity 16)
Sc 0.250 0.250 0.750 (multiplicity 4)
Te 0.000 0.000 0.500 (multiplicity 4)

Largest 8 diffraction maxima, most intense first, 2θ from 15° to 90°:
2θ 32.08, rel. 100, (3 1 1)
2θ 33.55, rel. 58, (2 2 2)
2θ 51.31, rel. 36, (5 1 1)
2θ 56.24, rel. 32, (4 4 0)
2θ 16.60, rel. 27, (1 1 1)
2θ 67.10, rel. 23, (6 2 2)
2θ 79.58, rel. 21, (5 5 3)
2θ 27.26, rel. 14, (2 2 0)



Entry 4:
Structure and computed powder XRD pattern of La6Th2Sc (a structure optimized by DFT (PBE); a wavelength of 1.5418 Å).
No peak broadening, texture or thermal motion is included.

Structure:
a = 6.250 Å, b = 10.950 Å, c = 8.881 Å
α = 90.00°, β = 90.00°, γ = 90.00°
Space group C222 (No. 21)
Unique sites:
La 0.000 0.175 0.000 (multiplicity 4)
La 0.247 0.416 0.672 (multiplicity 8)
Th 0.250 0.250 0.350 (multiplicity 4)
Sc 0.000 0.500 0.000 (multiplicity 2)

Largest 8 diffraction maxima, most intense first, 2θ from 15° to 90°:
2θ 30.08, rel. 100, (1 3 1)
2θ 34.91, rel. 73, (1 3 2)
2θ 30.19, rel. 51, (0 0 3)
2θ 30.32, rel. 43, (2 0 1)
2θ 35.12, rel. 24, (2 0 2)
2θ 51.55, rel. 22, (3 3 1)
2θ 50.27, rel. 20, (1 3 4)
2θ 54.79, rel. 20, (3 3 2)



Entry 5:
Structure and computed powder XRD pattern of LaSc2Tl2 (a structure optimized by DFT (PBE); a wavelength of 1.5418 Å).
No peak broadening, texture or thermal motion is included.

Structure:
a = 8.874 Å, b = 8.874 Å, c = 3.303 Å
α = 90.00°, β = 90.00°, γ = 90.00°
Space group P4/mbm (No. 127)
Unique sites:
La 0.000 0.000 0.000 (multiplicity 2)
Sc 0.124 0.376 0.000 (multiplicity 4)
Tl 0.174 0.674 0.500 (multiplicity 4)

Largest 8 diffraction maxima, most intense first, 2θ from 15° to 90°:
2θ 35.35, rel. 100, (2 1 1)
2θ 31.89, rel. 70, (3 1 0)
2θ 22.40, rel. 63, (2 1 0)
2θ 33.83, rel. 61, (2 0 1)
2θ 51.73, rel. 33, (3 3 1)
2θ 50.62, rel. 32, (4 1 1)
2θ 41.98, rel. 28, (4 1 0)
2θ 28.45, rel. 25, (2 2 0)



Entry 6:
Structure and computed powder XRD pattern of La2Sc2Tl3 (a structure optimized by DFT (PBE); a wavelength of 1.5418 Å).
No peak broadening, texture or thermal motion is included.

Structure:
a = 4.618 Å, b = 24.942 Å, c = 3.376 Å
α = 90.00°, β = 90.00°, γ = 90.00°
Space group Cmmm (No. 65)
Unique sites:
La 0.000 0.078 0.000 (multiplicity 4)
Sc 0.000 0.209 0.000 (multiplicity 4)
Tl 0.000 0.334 0.500 (multiplicity 4)
Tl 0.000 0.500 0.500 (multiplicity 2)

Largest 8 diffraction maxima, most intense first, 2θ from 15° to 90°:
2θ 33.07, rel. 100, (1 1 1)
2θ 34.22, rel. 78, (0 6 1)
2θ 31.72, rel. 73, (1 7 0)
2θ 26.30, rel. 54, (1 5 0)
2θ 52.85, rel. 46, (2 6 1)
2θ 39.01, rel. 33, (2 0 0)
2θ 58.87, rel. 20, (1 13 1)
2θ 64.32, rel. 19, (1 7 2)



Entry 7:
Structure and computed powder XRD pattern of La2ScTl2 (a structure optimized by DFT (PBE); a wavelength of 1.5418 Å).
No peak broadening, texture or thermal motion is included.

Structure:
a = 4.861 Å, b = 6.900 Å, c = 9.279 Å
α = 90.00°, β = 90.00°, γ = 90.00°
Space group Immm (No. 71)
Unique sites:
La 0.000 0.000 0.187 (multiplicity 4)
Sc 0.000 0.500 0.000 (multiplicity 2)
Tl 0.000 0.261 0.500 (multiplicity 4)

Largest 8 diffraction maxima, most intense first, 2θ from 15° to 90°:
2θ 33.28, rel. 100, (1 2 1)
2θ 34.37, rel. 57, (1 0 3)
2θ 32.34, rel. 53, (0 2 2)
2θ 20.63, rel. 33, (1 0 1)
2θ 36.98, rel. 32, (2 0 0)
2θ 49.93, rel. 32, (2 2 2)
2θ 29.60, rel. 32, (1 1 2)
2θ 59.69, rel. 30, (1 2 5)



Entry 8:
Structure and computed powder XRD pattern of LaSc5Tl3 (a structure optimized by DFT (PBE); a wavelength of 1.5418 Å).
No peak broadening, texture or thermal motion is included.

Structure:
a = 8.9494 Å, b = 8.9494 Å, c = 6.4125 Å
α = 90.00°, β = 90.00°, γ = 120.00°
Space group P6_3/mcm (No. 193)
Unique sites:
La 0.0000 0.0000 0.0000 (multiplicity 2)
Sc 0.0000 0.3304 0.2500 (multiplicity 6)
Sc 0.3333 0.6667 0.0000 (multiplicity 4)
Tl 0.0000 0.3462 0.7500 (multiplicity 6)

Largest 8 diffraction maxima, most intense first, 2θ from 15° to 90°:
2θ 34.72, rel. 100, (3 0 0)
2θ 24.25, rel. 86, (1 1 1)
2θ 34.41, rel. 80, (1 1 2)
2θ 49.69, rel. 27, (2 2 2)
2θ 62.04, rel. 27, (4 1 2)
2θ 45.07, rel. 27, (3 0 2)
2θ 68.94, rel. 27, (3 0 4)
2θ 42.81, rel. 19, (2 2 1)



Entry 9:
Structure and computed powder XRD pattern of La3Tm4Sc2 (a structure optimized by DFT (PBE); a wavelength of 1.5418 Å).
No peak broadening, texture or thermal motion is included.

Structure:
a = 6.306 Å, b = 9.709 Å, c = 9.713 Å
α = 82.24°, β = 78.37°, γ = 78.35°
Space group P-1 (No. 2)
Unique sites:
La 0.000 0.041 0.168 (multiplicity 2)
La 0.250 0.465 0.535 (multiplicity 2)
La 0.499 0.168 0.041 (multiplicity 2)
Tm 0.010 0.693 0.117 (multiplicity 2)
Tm 0.097 0.145 0.501 (multiplicity 2)
Tm 0.404 0.499 0.854 (multiplicity 2)
Tm 0.490 0.883 0.307 (multiplicity 2)
Sc 0.107 0.364 0.211 (multiplicity 2)
Sc 0.393 0.789 0.636 (multiplicity 2)

Largest 8 diffraction maxima, most intense first, 2θ from 15° to 90°:
2θ 32.63, rel. 100, (1 -1 3)
2θ 32.53, rel. 66, (0 2 3)
2θ 33.39, rel. 40, (2 2 2)
2θ 29.43, rel. 39, (2 0 0)
2θ 34.30, rel. 38, (1 -3 0)
2θ 32.00, rel. 24, (1 3 2)
2θ 28.29, rel. 22, (0 3 0)
2θ 35.66, rel. 20, (1 1 -3)



Entry 10:
Structure and computed powder XRD pattern of LaTm2Sc6 (a structure optimized by DFT (PBE); a wavelength of 1.5418 Å).
No peak broadening, texture or thermal motion is included.

Structure:
a = 5.117 Å, b = 5.117 Å, c = 20.563 Å
α = 90.00°, β = 90.00°, γ = 90.00°
Space group P4_2/mnm (No. 136)
Unique sites:
La 0.000 0.000 0.000 (multiplicity 2)
Tm 0.000 0.000 0.240 (multiplicity 4)
Sc 0.166 0.166 0.500 (multiplicity 4)
Sc 0.223 0.777 0.382 (multiplicity 8)

Largest 8 diffraction maxima, most intense first, 2θ from 15° to 90°:
2θ 30.21, rel. 100, (1 1 4)
2θ 24.61, rel. 92, (1 1 0)
2θ 39.34, rel. 73, (2 0 4)
2θ 17.25, rel. 58, (0 0 4)
2θ 27.85, rel. 43, (1 0 5)
2θ 34.91, rel. 35, (0 0 8)
2θ 43.17, rel. 35, (1 1 8)
2θ 56.94, rel. 32, (3 1 0)



Entry 11:
Structure and computed powder XRD pattern of La12Tm7Sc (a structure optimized by DFT (PBE); a wavelength of 1.5418 Å).
No peak broadening, texture or thermal motion is included.

Structure:
a = 19.4785 Å, b = 19.4785 Å, c = 6.3166 Å
α = 90.00°, β = 90.00°, γ = 120.00°
Space group R-3 (No. 148, hexagonal axes)
Unique sites:
La 0.9999 0.4086 0.0011 (multiplicity 18)
La 0.0985 0.5494 0.4780 (multiplicity 18)
Tm 0.0000 0.0000 0.0000 (multiplicity 3)
Tm 0.0805 0.9195 0.3093 (multiplicity 18)
Sc 0.0000 0.0000 0.5000 (multiplicity 3)

Largest 8 diffraction maxima, most intense first, 2θ from 15° to 90°:
2θ 30.03, rel. 100, (0 5 1)
2θ 30.22, rel. 34, (2 0 2)
2θ 39.07, rel. 32, (5 0 2)
2θ 27.47, rel. 32, (3 3 0)
2θ 33.17, rel. 30, (5 2 0)
2θ 32.78, rel. 30, (6 -1 1)
2θ 34.26, rel. 25, (4 -1 2)
2θ 28.76, rel. 22, (0 1 2)



Entry 12:
Structure and computed powder XRD pattern of La8Tm3Sc (a structure optimized by DFT (PBE); a wavelength of 1.5418 Å).
No peak broadening, texture or thermal motion is included.

Structure:
a = 8.732 Å, b = 8.732 Å, c = 11.797 Å
α = 90.00°, β = 90.00°, γ = 90.00°
Space group I-42m (No. 121)
Unique sites:
La 0.126 0.126 0.245 (multiplicity 8)
La 0.243 0.243 0.985 (multiplicity 8)
Tm 0.000 0.000 0.500 (multiplicity 2)
Tm 0.000 0.500 0.250 (multiplicity 4)
Sc 0.000 0.000 0.000 (multiplicity 2)

Largest 8 diffraction maxima, most intense first, 2θ from 15° to 90°:
2θ 35.91, rel. 100, (3 1 2)
2θ 28.92, rel. 77, (2 2 0)
2θ 25.38, rel. 77, (2 0 2)
2θ 30.31, rel. 74, (0 0 4)
2θ 24.00, rel. 70, (2 1 1)
2θ 42.38, rel. 51, (2 2 4)
2θ 44.24, rel. 37, (4 0 2)
2θ 32.31, rel. 35, (2 1 3)



Entry 13:
Structure and computed powder XRD pattern of La8TmSc2 (a structure optimized by DFT (PBE); a wavelength of 1.5418 Å).
No peak broadening, texture or thermal motion is included.

Structure:
a = 5.681 Å, b = 9.210 Å, c = 14.433 Å
α = 90.00°, β = 90.00°, γ = 90.00°
Space group Immm (No. 71)
Unique sites:
La 0.000 0.000 0.142 (multiplicity 4)
La 0.000 0.197 0.347 (multiplicity 8)
La 0.000 0.336 0.000 (multiplicity 4)
Tm 0.000 0.500 0.500 (multiplicity 2)
Sc 0.000 0.500 0.217 (multiplicity 4)

Largest 8 diffraction maxima, most intense first, 2θ from 15° to 90°:
2θ 31.16, rel. 100, (1 2 3)
2θ 30.92, rel. 57, (1 1 4)
2θ 31.50, rel. 45, (2 0 0)
2θ 29.75, rel. 40, (0 3 1)
2θ 43.87, rel. 28, (2 3 1)
2θ 22.13, rel. 27, (1 1 2)
2θ 55.87, rel. 19, (3 2 3)
2θ 63.45, rel. 19, (2 3 7)